# Ac2CrO5
Theoretical XRD peak list, Cu Kα. Input: a cell relaxed with PBE+U.

Main lines, by angle (2θ from 10° to 90°):
(hkl)  d [Å]  2θ (°)  I (rel.)
1 0 3  3.614  24.63  28
2 1 0  3.342  26.68  100
2 1 1  3.211  27.78  38
2 0 3  3.163  28.22  59
0 1 3  2.805  31.91  37
2 2 3  1.731  52.88  28

Cell and atoms:
```
data_Ac2CrO5
_chemical_formula_sum 'Ac8 Cr4 O20'
_space_group_name_H-M_alt 'P n m a'
_space_group_IT_number 62
_space_group_name_Hall '-P 2ac 2n'
_cell_length_a 11.3197
_cell_length_b 4.1401
_cell_length_c 11.4402
_cell_angle_alpha 90.00
_cell_angle_beta 90.00
_cell_angle_gamma 90.00
loop_
_atom_site_label
_atom_site_type_symbol
_atom_site_fract_x
_atom_site_fract_y
_atom_site_fract_z
Ac1 Ac 0.0851 0.2500 0.2119
Ac2 Ac 0.1389 0.2500 0.5596
Cr1 Cr 0.2007 0.2500 0.8660
O1 O 0.0121 0.7500 0.5997
O2 O 0.0513 0.2500 0.8181
O3 O 0.2064 0.7500 0.2334
O4 O 0.2250 0.2500 0.0248
O5 O 0.2376 0.7500 0.8688
```